The following is a calculated XRD peak list of Cs3Na9Hg2. It was derived from a crystal structure in Alexandria, relaxed with PBE, using CuKα.
Intensities are scaled so that the largest is 100.

```
data_Cs3Na9Hg2
_chemical_formula_sum 'Cs6 Na18 Hg4'
_space_group_name_H-M_alt 'I m m m'
_space_group_IT_number 71
_space_group_name_Hall '-I 2 2'
_cell_length_a 5.6432
_cell_length_b 13.7187
_cell_length_c 16.6620
_cell_angle_alpha 90.00
_cell_angle_beta 90.00
_cell_angle_gamma 90.00
loop_
_atom_site_label
_atom_site_type_symbol
_atom_site_fract_x
_atom_site_fract_y
_atom_site_fract_z
Cs1 Cs 0.0000 0.0000 0.0000
Cs2 Cs 0.0000 0.0000 0.3160
Na1 Na 0.0000 0.2841 0.1052
Na2 Na 0.0000 0.3298 0.3268
Na3 Na 0.0000 0.5000 0.0000
Hg1 Hg 0.0000 0.1904 0.5000
```

Largest 10 diffraction maxima, by angle, 10 to 90 degrees two-theta:
2theta, d_spacing, I/Imax, hkl
10.62, 8.331, 42, 0 0 2
16.59, 5.345, 27, 1 0 1
16.99, 5.219, 52, 1 1 0
20.13, 4.411, 26, 0 3 1
21.07, 4.216, 28, 1 2 1
25.23, 3.530, 65, 0 3 3
25.99, 3.429, 100, 1 2 3
27.29, 3.268, 38, 1 3 2
31.71, 2.822, 30, 2 0 0
40.95, 2.204, 38, 2 3 3